No. 1
K6Rb2PbO: computed XRD peak list (λ = 1.5418 Å (Cu Kα)), based on a cell relaxed with GGA-PBE.

Principal peaks in the range 2θ = 10–80°, in order of rising 2θ:
14.28°, 6.203 Å, rel. 53
18.08°, 4.906 Å, rel. 32
22.21°, 4.003 Å, rel. 43
24.16°, 3.684 Å, rel. 100
24.32°, 3.660 Å, rel. 53
25.96°, 3.432 Å, rel. 53
28.78°, 3.102 Å, rel. 71
29.50°, 3.028 Å, rel. 49
29.71°, 3.007 Å, rel. 24
40.06°, 2.251 Å, rel. 28
41.21°, 2.191 Å, rel. 26
45.31°, 2.001 Å, rel. 26

Cell and atoms:
Cell lengths 8.006, 8.006, 10.243 Å; angles 112.52, 112.52, 60.43 degrees
Sites, in units of the cell vectors:
K: 0.214 0.214 0.661
K: 0.214 0.739 0.666
K: 0.261 0.786 0.334
K: 0.739 0.214 0.666
K: 0.786 0.261 0.334
K: 0.786 0.786 0.339
Rb: 0.199 0.199 0.090
Rb: 0.801 0.801 0.910
Pb: 0.500 0.500 0.000
O: 0.000 0.000 0.500

***

No. 2
Rb3CdC2O6: computed XRD peak list (λ = 1.5418 Å (Cu Kα)), based on a cell relaxed with GGA-PBE.

Principal peaks in the range 2θ = 10–80°, in order of rising 2θ:
11.95°, 7.408 Å, rel. 12
17.33°, 5.117 Å, rel. 17
21.10°, 4.210 Å, rel. 14
29.78°, 3.000 Å, rel. 100
30.26°, 2.954 Å, rel. 75
37.18°, 2.418 Å, rel. 22
42.97°, 2.105 Å, rel. 44
53.45°, 1.714 Å, rel. 25
53.75°, 1.706 Å, rel. 12
58.85°, 1.569 Å, rel. 12
62.92°, 1.477 Å, rel. 11
71.16°, 1.325 Å, rel. 20

Cell and atoms:
Cell lengths 5.908, 5.908, 7.408 Å; angles 90.00, 90.00, 120.00 degrees
Sites, in units of the cell vectors:
Rb: 0.000 0.000 0.000
Rb: 0.333 0.667 0.708
Rb: 0.667 0.333 0.292
Cd: 0.000 0.000 0.500
C: 0.333 0.667 0.266
C: 0.667 0.333 0.734
O: 0.205 0.411 0.266
O: 0.205 0.795 0.266
O: 0.411 0.205 0.734
O: 0.589 0.795 0.266
O: 0.795 0.205 0.734
O: 0.795 0.589 0.734

***

No. 3
Na3BrCl2: computed XRD peak list (λ = 1.5418 Å (Cu Kα)), based on a cell relaxed with GGA-PBE.

Principal peaks in the range 2θ = 10–80°, in order of rising 2θ:
17.62°, 5.032 Å, rel. 4
25.07°, 3.552 Å, rel. 6
26.60°, 3.351 Å, rel. 32
30.81°, 2.902 Å, rel. 100
36.85°, 2.439 Å, rel. 5
44.13°, 2.052 Å, rel. 67
45.09°, 2.011 Å, rel. 3
52.28°, 1.750 Å, rel. 11
54.79°, 1.675 Å, rel. 23
64.18°, 1.451 Å, rel. 10
70.70°, 1.332 Å, rel. 3
72.88°, 1.298 Å, rel. 27

Cell and atoms:
Cell lengths 4.102, 4.102, 10.065 Å; angles 90.00, 90.00, 120.00 degrees
Sites, in units of the cell vectors:
Na: 0.000 0.000 0.000
Na: 0.333 0.667 0.678
Na: 0.667 0.333 0.322
Br: 0.000 0.000 0.500
Cl: 0.333 0.667 0.161
Cl: 0.667 0.333 0.839

***

No. 4
K2CuF7: computed XRD peak list (λ = 1.5418 Å (Cu Kα)), based on a cell relaxed with GGA-PBE.

Principal peaks in the range 2θ = 10–80°, in order of rising 2θ:
18.34°, 4.838 Å, rel. 62
21.20°, 4.190 Å, rel. 16
30.16°, 2.963 Å, rel. 100
35.53°, 2.527 Å, rel. 13
37.16°, 2.419 Å, rel. 20
43.18°, 2.095 Å, rel. 71
53.57°, 1.711 Å, rel. 30
57.11°, 1.613 Å, rel. 14
62.72°, 1.481 Å, rel. 35
65.94°, 1.417 Å, rel. 9
71.15°, 1.325 Å, rel. 18
79.19°, 1.210 Å, rel. 10

Cell and atoms:
Cell lengths 5.926, 5.926, 5.926 Å; angles 60.00, 60.00, 60.00 degrees
Sites, in units of the cell vectors:
K: 0.250 0.250 0.250
K: 0.750 0.750 0.750
Cu: 0.000 0.000 0.000
F: 0.220 0.220 0.780
F: 0.220 0.780 0.220
F: 0.220 0.780 0.780
F: 0.500 0.500 0.500
F: 0.780 0.220 0.220
F: 0.780 0.220 0.780
F: 0.780 0.780 0.220

***

No. 5
Ce3TcRu: computed XRD peak list (λ = 1.5418 Å (Cu Kα)), based on a cell relaxed with GGA-PBE.

Principal peaks in the range 2θ = 10–80°, in order of rising 2θ:
24.93°, 3.572 Å, rel. 19
31.06°, 2.880 Å, rel. 100
35.22°, 2.548 Å, rel. 28
35.74°, 2.513 Å, rel. 28
35.93°, 2.500 Å, rel. 23
36.19°, 2.482 Å, rel. 85
38.07°, 2.364 Å, rel. 79
41.39°, 2.181 Å, rel. 69
53.34°, 1.717 Å, rel. 19
57.89°, 1.593 Å, rel. 22
74.47°, 1.274 Å, rel. 20
75.00°, 1.266 Å, rel. 22

Cell and atoms:
Cell lengths 8.825, 7.910, 5.888 Å; angles 78.01, 61.25, 40.74 degrees
Sites, in units of the cell vectors:
Ce: 0.165 0.165 0.835
Ce: 0.215 0.591 0.409
Ce: 0.409 0.785 0.215
Ce: 0.591 0.215 0.785
Ce: 0.785 0.409 0.591
Ce: 0.835 0.835 0.165
Tc: 0.225 0.775 0.775
Tc: 0.775 0.225 0.225
Ru: 0.250 0.250 0.250
Ru: 0.750 0.750 0.750

***

No. 6
AcNdNiGe: computed XRD peak list (λ = 1.5418 Å (Cu Kα)), based on a cell relaxed with GGA-PBE.

Principal peaks in the range 2θ = 10–80°, in order of rising 2θ:
20.71°, 4.290 Å, rel. 5
23.95°, 3.715 Å, rel. 24
34.13°, 2.627 Å, rel. 100
40.26°, 2.240 Å, rel. 3
42.13°, 2.145 Å, rel. 7
49.04°, 1.858 Å, rel. 18
53.78°, 1.705 Å, rel. 1
55.29°, 1.661 Å, rel. 10
61.10°, 1.517 Å, rel. 37
71.88°, 1.313 Å, rel. 11
75.73°, 1.256 Å, rel. 1
77.00°, 1.238 Å, rel. 5

Cell and atoms:
Cell lengths 5.254, 5.254, 5.254 Å; angles 60.00, 60.00, 60.00 degrees
Sites, in units of the cell vectors:
Ac: 0.000 0.000 0.000
Nd: 0.500 0.500 0.500
Ni: 0.250 0.250 0.250
Ge: 0.750 0.750 0.750

***

No. 7
CsVAsCl6: computed XRD peak list (λ = 1.5418 Å (Cu Kα)), based on a cell relaxed with GGA-PBE.

Principal peaks in the range 2θ = 10–80°, in order of rising 2θ:
11.30°, 7.830 Å, rel. 13
19.26°, 4.609 Å, rel. 100
27.09°, 3.292 Å, rel. 12
29.44°, 3.034 Å, rel. 22
33.45°, 2.679 Å, rel. 16
35.63°, 2.519 Å, rel. 58
37.91°, 2.373 Å, rel. 11
43.56°, 2.078 Å, rel. 23
47.21°, 1.925 Å, rel. 14
47.87°, 1.900 Å, rel. 18
54.54°, 1.683 Å, rel. 14
59.65°, 1.550 Å, rel. 12

Cell and atoms:
Cell lengths 6.583, 6.583, 7.830 Å; angles 90.00, 90.00, 120.00 degrees
Sites, in units of the cell vectors:
Cs: 0.000 0.000 0.000
V: 0.333 0.667 0.500
As: 0.667 0.333 0.500
Cl: 0.007 0.377 0.680
Cl: 0.007 0.629 0.320
Cl: 0.371 0.377 0.320
Cl: 0.371 0.993 0.680
Cl: 0.623 0.629 0.680
Cl: 0.623 0.993 0.320

***

No. 8
MgZnCd: computed XRD peak list (λ = 1.5418 Å (Cu Kα)), based on a cell relaxed with GGA-PBE.

Principal peaks in the range 2θ = 10–80°, in order of rising 2θ:
14.31°, 6.191 Å, rel. 38
28.56°, 3.126 Å, rel. 26
28.66°, 3.115 Å, rel. 33
28.84°, 3.095 Å, rel. 20
30.03°, 2.976 Å, rel. 25
32.59°, 2.747 Å, rel. 20
36.51°, 2.461 Å, rel. 100
38.02°, 2.367 Å, rel. 43
38.57°, 2.334 Å, rel. 31
41.27°, 2.187 Å, rel. 65
45.01°, 2.014 Å, rel. 24
45.35°, 2.000 Å, rel. 24

Cell and atoms:
Cell lengths 3.146, 3.066, 12.461 Å; angles 90.00, 96.45, 90.00 degrees
Sites, in units of the cell vectors:
Mg: 0.156 0.000 0.286
Mg: 0.844 0.500 0.714
Zn: 0.278 0.000 0.563
Zn: 0.722 0.500 0.437
Cd: 0.421 0.004 0.893
Cd: 0.579 0.504 0.107

***

No. 9
AgGe: computed XRD peak list (λ = 1.5418 Å (Cu Kα)), based on a cell relaxed with GGA-PBE.

Principal peaks in the range 2θ = 10–80°, in order of rising 2θ:
13.52°, 6.552 Å, rel. 17
23.12°, 3.846 Å, rel. 5
23.52°, 3.783 Å, rel. 11
33.22°, 2.697 Å, rel. 14
36.28°, 2.476 Å, rel. 23
37.87°, 2.376 Å, rel. 28
41.11°, 2.196 Å, rel. 100
45.06°, 2.012 Å, rel. 4
53.45°, 1.714 Å, rel. 15
65.26°, 1.430 Å, rel. 16
70.59°, 1.334 Å, rel. 19
78.00°, 1.225 Å, rel. 19

Cell and atoms:
Cell lengths 7.565, 7.565, 4.751 Å; angles 90.00, 90.00, 120.00 degrees
Sites, in units of the cell vectors:
Ag: 0.057 0.805 0.250
Ag: 0.195 0.251 0.250
Ag: 0.251 0.057 0.750
Ag: 0.749 0.943 0.250
Ag: 0.805 0.749 0.750
Ag: 0.943 0.195 0.750
Ge: 0.095 0.613 0.750
Ge: 0.387 0.482 0.750
Ge: 0.482 0.095 0.250
Ge: 0.518 0.905 0.750
Ge: 0.613 0.518 0.250
Ge: 0.905 0.387 0.250

***

No. 10
Na2Ca2RuO6: computed XRD peak list (λ = 1.5418 Å (Cu Kα)), based on a cell relaxed with GGA-PBE.

Principal peaks in the range 2θ = 10–80°, in order of rising 2θ:
15.81°, 5.606 Å, rel. 100
18.37°, 4.830 Å, rel. 51
24.22°, 3.675 Å, rel. 17
31.93°, 2.803 Å, rel. 31
32.18°, 2.782 Å, rel. 13
33.58°, 2.669 Å, rel. 20
37.95°, 2.371 Å, rel. 68
38.36°, 2.347 Å, rel. 34
49.24°, 1.850 Å, rel. 13
54.90°, 1.672 Å, rel. 18
55.22°, 1.663 Å, rel. 19
70.59°, 1.334 Å, rel. 12

Cell and atoms:
Cell lengths 5.669, 5.669, 5.862 Å; angles 98.61, 98.61, 118.26 degrees
Sites, in units of the cell vectors:
Na: 0.154 0.846 0.000
Na: 0.846 0.154 0.000
Ca: 0.338 0.662 0.500
Ca: 0.662 0.338 0.500
Ru: 0.000 0.000 0.500
O: 0.051 0.342 0.696
O: 0.220 0.220 0.299
O: 0.342 0.051 0.696
O: 0.658 0.949 0.304
O: 0.780 0.780 0.701
O: 0.949 0.658 0.304

***

No. 11
La2Pr2ErTm: computed XRD peak list (λ = 1.5418 Å (Cu Kα)), based on a cell relaxed with GGA-PBE.

Principal peaks in the range 2θ = 10–80°, in order of rising 2θ:
24.98°, 3.564 Å, rel. 6
30.82°, 2.901 Å, rel. 92
31.01°, 2.884 Å, rel. 100
40.23°, 2.242 Å, rel. 10
44.29°, 2.045 Å, rel. 34
51.27°, 1.782 Å, rel. 8
55.05°, 1.668 Å, rel. 42
55.19°, 1.664 Å, rel. 13
61.13°, 1.516 Å, rel. 29
64.64°, 1.442 Å, rel. 12
73.29°, 1.292 Å, rel. 10
78.64°, 1.217 Å, rel. 14

Cell and atoms:
Cell lengths 7.128, 5.763, 9.999 Å; angles 90.00, 90.00, 90.00 degrees
Sites, in units of the cell vectors:
La: 0.000 0.000 0.000
La: 0.250 0.500 0.178
La: 0.500 0.000 0.000
La: 0.750 0.500 0.822
Pr: 0.250 0.000 0.332
Pr: 0.250 0.500 0.834
Pr: 0.750 0.000 0.668
Pr: 0.750 0.500 0.166
Er: 0.000 0.500 0.500
Er: 0.500 0.500 0.500
Tm: 0.250 0.000 0.656
Tm: 0.750 0.000 0.344

***

No. 12
TmTi2Pd9: computed XRD peak list (λ = 1.5418 Å (Cu Kα)), based on a cell relaxed with GGA-PBE.

Principal peaks in the range 2θ = 10–80°, in order of rising 2θ:
23.54°, 3.779 Å, rel. 4
26.91°, 3.313 Å, rel. 2
32.66°, 2.741 Å, rel. 2
35.23°, 2.547 Å, rel. 3
37.68°, 2.387 Å, rel. 3
39.19°, 2.299 Å, rel. 100
45.56°, 1.991 Å, rel. 48
60.54°, 1.529 Å, rel. 2
66.41°, 1.408 Å, rel. 30
71.57°, 1.318 Å, rel. 2
79.87°, 1.201 Å, rel. 24
79.97°, 1.200 Å, rel. 10

Cell and atoms:
Cell lengths 3.984, 3.984, 11.933 Å; angles 90.00, 90.00, 90.00 degrees
Sites, in units of the cell vectors:
Tm: 0.000 0.000 0.000
Ti: 0.000 0.000 0.335
Ti: 0.000 0.000 0.665
Pd: 0.000 0.500 0.179
Pd: 0.000 0.500 0.500
Pd: 0.000 0.500 0.821
Pd: 0.500 0.000 0.179
Pd: 0.500 0.000 0.500
Pd: 0.500 0.000 0.821
Pd: 0.500 0.500 0.000
Pd: 0.500 0.500 0.339
Pd: 0.500 0.500 0.661